Diffraction record for RbMn2CuF8. The powder X-ray diffraction pattern is computed, not measured: it uses a cell relaxed with PBE+U and λ = 1.5418 Å (Cu Kα).
Peak positions follow from Bragg's law for the DFT cell and can differ from measured ones.

Main lines, sorted by position (2θ from 5° to 70°):
23.39°, I 100
26.87°, I 58
28.42°, I 35
28.54°, I 33
35.84°, I 20
43.34°, I 28

Structure:
abc: 5.0526 5.0588 7.7420
angles: 86.83 86.37 82.04
Sites, in units of the cell vectors:
Rb  0.0000  0.0000  0.0000
Mn  0.4824  0.4845  0.6993
Mn  0.5176  0.5155  0.3007
Cu  0.0000  0.0000  0.5000
F  0.2002  0.7907  0.6857
F  0.2185  0.8058  0.3124
F  0.3170  0.3245  0.4853
F  0.3411  0.3553  0.9124
F  0.6589  0.6447  0.0876
F  0.6830  0.6755  0.5147
F  0.7815  0.1942  0.6876
F  0.7998  0.2093  0.3143